# 1
SrZrO3: computed powder diffraction line list (Cu Kα, 1.54184 Å), based on a DFT-relaxed cell (GGA-PBE, the Materials Project).

Most intense lines, 2θ from 10° to 80°, in order of falling intensity:
2θ (°)  d [Å]  I_rel
30.4  2.937  100
30.3  2.950  46
53.9  1.701  42
43.4  2.086  32
54.2  1.693  22
63.3  1.468  17
43.8  2.067  14
63.0  1.475  9
71.6  1.318  8
72.2  1.309  8

Structure:
```
SrZrO3
1.0
4.134 -4.175 0.000
4.134 4.175 0.000
0.000 0.000 8.337
Sr Zr O
4 4 12
direct
0.005 0.995 0.750 Sr
0.488 0.512 0.250 Sr
0.512 0.488 0.750 Sr
0.995 0.005 0.250 Sr
0.000 0.500 0.000 Zr
0.000 0.500 0.500 Zr
0.500 0.000 0.000 Zr
0.500 0.000 0.500 Zr
0.053 0.542 0.250 O
0.206 0.206 0.000 O
0.206 0.206 0.500 O
0.291 0.709 0.545 O
0.291 0.709 0.955 O
0.458 0.947 0.250 O
0.542 0.053 0.750 O
0.709 0.291 0.045 O
0.709 0.291 0.455 O
0.794 0.794 0.000 O
0.794 0.794 0.500 O
0.947 0.458 0.750 O
```

# 2
CdAg3: computed powder diffraction line list (Cu Kα, 1.54184 Å), based on a DFT-relaxed cell (GGA-PBE, the Materials Project).

Most intense lines, 2θ from 10° to 80°, in order of falling intensity:
2θ (°)  d [Å]  I_rel
36.7  2.451  100
42.9  2.110  63
37.5  2.396  31
74.4  1.274  23
61.6  1.505  20
62.8  1.479  19
73.9  1.283  12
75.5  1.259  11
78.0  1.225  10

Structure:
```
CdAg3
1.0
1.505 0.869 9.582
-1.505 0.869 9.582
0.000 -1.738 9.582
Cd Ag
1 3
direct
0.000 0.000 0.000 Cd
0.249 0.249 0.249 Ag
0.500 0.500 0.500 Ag
0.751 0.751 0.751 Ag
```

# 3
Dy2SbO2: computed powder diffraction line list (Cu Kα, 1.54184 Å), based on a DFT-relaxed cell (GGA-PBE, the Materials Project).

Most intense lines, 2θ from 10° to 80°, in order of falling intensity:
2θ (°)  d [Å]  I_rel
30.7  2.914  100
32.9  2.725  36
57.3  1.607  34
53.1  1.724  24
47.2  1.927  17
63.9  1.457  11
67.6  1.385  10
40.5  2.226  10
77.3  1.234  7
78.5  1.219  6

Structure:
```
Dy2SbO2
1.0
-1.927 1.927 6.678
1.927 -1.927 6.678
1.927 1.927 -6.678
Dy Sb O
2 1 2
direct
0.166 0.166 0.000 Dy
0.834 0.834 0.000 Dy
0.500 0.500 0.000 Sb
0.250 0.750 0.500 O
0.750 0.250 0.500 O
```

# 4
RbCr2S4: computed powder diffraction line list (Cu Kα, 1.54184 Å), based on a DFT-relaxed cell (GGA-PBE, the Materials Project).

Most intense lines, 2θ from 10° to 80°, in order of falling intensity:
2θ (°)  d [Å]  I_rel
40.5  2.226  100
32.1  2.791  72
26.0  3.422  63
21.4  4.146  57
51.6  1.771  46
25.1  3.542  33
43.7  2.073  31
39.9  2.258  25
55.2  1.664  22
65.6  1.424  15

Structure:
```
RbCr2S4
1.0
-4.146 4.146 4.445
4.146 -4.146 4.445
4.146 4.146 -4.445
Rb Cr S
2 4 8
direct
0.375 0.625 0.750 Rb
0.625 0.375 0.250 Rb
0.000 0.000 0.000 Cr
0.000 0.000 0.500 Cr
0.000 0.500 0.000 Cr
0.500 0.000 0.500 Cr
0.159 0.740 0.419 S
0.178 0.260 0.919 S
0.260 0.178 0.419 S
0.260 0.841 0.081 S
0.740 0.159 0.919 S
0.740 0.822 0.581 S
0.822 0.740 0.081 S
0.841 0.260 0.581 S
```

# 5
KFeSeS: computed powder diffraction line list (Cu Kα, 1.54184 Å), based on a DFT-relaxed cell (GGA-PBE, the Materials Project).

Most intense lines, 2θ from 10° to 80°, in order of falling intensity:
2θ (°)  d [Å]  I_rel
30.1  2.972  100
15.4  5.759  94
15.2  5.848  82
27.1  3.286  66
40.2  2.243  48
34.9  2.573  39
26.5  3.359  37
47.4  1.919  30
51.3  1.780  29
41.2  2.191  20

Structure:
```
KFeSeS
1.0
3.591 -5.848 0.000
3.591 5.848 0.000
-2.133 0.000 5.053
K Fe Se S
2 2 2 2
direct
0.000 0.000 0.000 K
0.719 0.281 0.500 K
0.353 0.647 0.500 Fe
0.355 0.645 0.000 Fe
0.269 0.331 0.647 Se
0.669 0.731 0.353 Se
0.069 0.570 0.157 S
0.430 0.931 0.843 S
```

# 6
NaLi3: computed powder diffraction line list (Cu Kα, 1.54184 Å), based on a DFT-relaxed cell (GGA-PBE, the Materials Project).

Most intense lines, 2θ from 10° to 80°, in order of falling intensity:
2θ (°)  d [Å]  I_rel
33.7  2.660  100
21.7  4.102  73
39.6  2.278  32
18.8  4.714  25
68.0  1.378  23
34.7  2.587  22
56.2  1.638  22
27.7  3.221  20
45.5  1.991  19
38.2  2.357  18

Structure:
```
NaLi3
1.0
-2.278 2.278 4.714
2.278 -2.278 4.714
2.278 2.278 -4.714
Na Li
1 3
direct
0.000 0.000 0.000 Na
0.250 0.750 0.500 Li
0.500 0.500 0.000 Li
0.750 0.250 0.500 Li
```

# 7
PrH3O3: computed powder diffraction line list (Cu Kα, 1.54184 Å), based on a DFT-relaxed cell (GGA-PBE, the Materials Project).

Most intense lines, 2θ from 10° to 80°, in order of falling intensity:
2θ (°)  d [Å]  I_rel
15.4  5.742  100
28.3  3.152  96
48.3  1.886  51
15.6  5.675  49
28.4  3.141  47
39.5  2.280  38
26.8  3.329  36
39.8  2.267  36
48.7  1.869  36
39.4  2.288  35

Structure:
```
PrH3O3
1.0
6.561 0.000 0.000
0.000 3.771 0.000
-3.220 0.000 5.758
Pr H O
2 6 6
direct
0.000 0.000 0.000 Pr
0.326 0.500 0.659 Pr
0.379 0.500 0.184 H
0.519 0.000 0.039 H
0.525 0.000 0.470 H
0.801 0.500 0.183 H
0.802 0.500 0.636 H
0.941 0.000 0.467 H
0.057 0.000 0.416 O
0.268 0.500 0.242 O
0.353 0.000 0.930 O
0.573 0.000 0.635 O
0.749 0.500 0.017 O
0.971 0.500 0.732 O
```

# 8
Pr7Al7Co6: computed powder diffraction line list (Cu Kα, 1.54184 Å), based on a DFT-relaxed cell (GGA-PBE, the Materials Project).

Most intense lines, 2θ from 10° to 80°, in order of falling intensity:
2θ (°)  d [Å]  I_rel
33.4  2.680  100
34.6  2.589  55
38.8  2.322  48
39.3  2.295  37
43.3  2.092  35
25.6  3.475  33
23.1  3.852  24
35.9  2.502  24
58.8  1.569  23
36.4  2.468  22

Structure:
```
Pr7Al7Co6
1.0
13.960 0.000 0.000
0.000 13.960 0.000
0.000 0.000 4.184
Pr Al Co
14 14 12
direct
0.000 0.000 0.000 Pr
0.048 0.262 0.000 Pr
0.132 0.632 0.500 Pr
0.238 0.452 0.000 Pr
0.262 0.952 0.000 Pr
0.368 0.132 0.500 Pr
0.452 0.762 0.000 Pr
0.500 0.500 0.000 Pr
0.548 0.238 0.000 Pr
0.632 0.868 0.500 Pr
0.738 0.048 0.000 Pr
0.762 0.548 0.000 Pr
0.868 0.368 0.500 Pr
0.952 0.738 0.000 Pr
0.000 0.500 0.000 Al
0.099 0.860 0.500 Al
0.140 0.099 0.500 Al
0.215 0.285 0.500 Al
0.285 0.785 0.500 Al
0.360 0.599 0.500 Al
0.401 0.360 0.500 Al
0.500 0.000 0.000 Al
0.599 0.640 0.500 Al
0.640 0.401 0.500 Al
0.715 0.215 0.500 Al
0.785 0.715 0.500 Al
0.860 0.901 0.500 Al
0.901 0.140 0.500 Al
0.073 0.427 0.500 Co
0.166 0.789 0.000 Co
0.211 0.166 0.000 Co
0.289 0.666 0.000 Co
0.334 0.289 0.000 Co
0.427 0.927 0.500 Co
0.573 0.073 0.500 Co
0.666 0.711 0.000 Co
0.711 0.334 0.000 Co
0.789 0.834 0.000 Co
0.834 0.211 0.000 Co
0.927 0.573 0.500 Co
```

# 9
Cr3Pt: computed powder diffraction line list (Cu Kα, 1.54184 Å), based on a DFT-relaxed cell (GGA-PBE, the Materials Project).

Most intense lines, 2θ from 10° to 80°, in order of falling intensity:
2θ (°)  d [Å]  I_rel
44.8  2.023  100
29.0  3.083  60
33.4  2.682  25
38.8  2.322  25
43.9  2.061  24
70.2  1.341  15
60.0  1.542  13
57.0  1.615  13
56.3  1.634  12
19.1  4.645  12

Structure:
```
Cr3Pt
1.0
5.363 0.000 0.000
-2.682 4.645 0.000
0.000 0.000 4.122
Cr Pt
6 2
direct
0.151 0.302 0.250 Cr
0.151 0.849 0.250 Cr
0.302 0.151 0.750 Cr
0.698 0.849 0.250 Cr
0.849 0.151 0.750 Cr
0.849 0.698 0.750 Cr
0.333 0.667 0.750 Pt
0.667 0.333 0.250 Pt
```

# 10
TlCrSe2: computed powder diffraction line list (Cu Kα, 1.54184 Å), based on a DFT-relaxed cell (GGA-PBE, the Materials Project).

Most intense lines, 2θ from 10° to 80°, in order of falling intensity:
2θ (°)  d [Å]  I_rel
31.3  2.861  100
40.2  2.241  46
18.6  4.769  42
28.1  3.179  41
34.9  2.569  39
44.7  2.028  36
55.3  1.660  34
38.3  2.352  30
63.2  1.472  26
33.6  2.668  20

Structure:
```
TlCrSe2
1.0
1.660 0.959 9.537
-1.660 0.959 9.537
0.000 -1.917 9.537
Tl Cr Se
1 1 2
direct
0.000 0.000 0.000 Tl
0.833 0.833 0.833 Cr
0.114 0.114 0.114 Se
0.220 0.220 0.220 Se
```

# 11
TcNiW: computed powder diffraction line list (Cu Kα, 1.54184 Å), based on a DFT-relaxed cell (GGA-PBE, the Materials Project).

Most intense lines, 2θ from 10° to 80°, in order of falling intensity:
2θ (°)  d [Å]  I_rel
43.9  2.063  100
26.5  3.369  73
52.0  1.759  35
63.8  1.459  16
70.3  1.339  14

Structure:
```
TcNiW
1.0
0.000 2.918 2.918
2.918 0.000 2.918
2.918 2.918 0.000
Tc Ni W
1 1 1
direct
0.000 0.000 0.000 Tc
0.500 0.500 0.500 Ni
0.250 0.250 0.250 W
```

# 12
Te2MoWS2: computed powder diffraction line list (Cu Kα, 1.54184 Å), based on a DFT-relaxed cell (GGA-PBE, the Materials Project).

Most intense lines, 2θ from 10° to 80°, in order of falling intensity:
2θ (°)  d [Å]  I_rel
11.0  8.010  100
35.7  2.516  71
30.8  2.907  47
42.7  2.115  47
54.6  1.679  29
36.9  2.435  18
34.6  2.594  16
44.4  2.040  15
32.7  2.735  14
13.3  6.675  13

Structure:
```
Te2MoWS2
1.0
3.360 0.000 0.000
-1.680 2.910 0.000
0.000 0.000 40.048
Te Mo W S
4 2 2 4
direct
0.000 0.000 0.000 Te
0.000 0.000 0.094 Te
0.667 0.333 0.809 Te
0.667 0.333 0.904 Te
0.667 0.333 0.047 Mo
0.667 0.333 0.670 Mo
0.000 0.000 0.234 W
0.000 0.000 0.856 W
0.000 0.000 0.632 S
0.000 0.000 0.708 S
0.667 0.333 0.196 S
0.667 0.333 0.272 S
```